Diffraction record for NaCr3O8. The X-ray powder pattern is theoretical, not measured: it uses a structure optimized by DFT (PBE+U) and Cu Kα, 1.54184 Å.

Peak list (10 most intense, 2θ from 10° to 90°, by angle)
| 2theta | intensity | h k l |
| --- | --- | --- |
| 16.65 | 44 | 1 1 0 |
| 23.12 | 100 | 1 1 1 |
| 24.18 | 61 | 1 2 0 |
| 29.08 | 11 | 1 2 1 |
| 32.16 | 31 | 0 0 2 |
| 32.89 | 58 | 2 1 1 |
| 34.48 | 42 | 0 3 1 |
| 47.25 | 16 | 2 2 2 |
| 49.52 | 12 | 2 4 0 |
| 60.28 | 20 | 2 4 2 |

```
data_NaCr3O8
_space_group_name_H-M_alt 'P n n m'
_space_group_IT_number 58
_cell_length_a 6.6762
_cell_length_b 8.8259
_cell_length_c 5.5667
_cell_angle_alpha 90.00
_cell_angle_beta 90.00
_cell_angle_gamma 90.00
loop_
_space_group_symop_operation_xyz
'x,y,z'
'-x,-y,-z'
'-x,-y,z'
'x,y,-z'
'x+1/2,-y+1/2,-z+1/2'
'-x+1/2,y+1/2,z+1/2'
'-x+1/2,y+1/2,-z+1/2'
'x+1/2,-y+1/2,z+1/2'
loop_
_atom_site_label
_atom_site_type_symbol
_atom_site_fract_x
_atom_site_fract_y
_atom_site_fract_z
_atom_site_occupancy
Na1 Na 0.0000 0.0000 0.0000 1
Cr1 Cr 0.0000 0.5000 0.5000 1
Cr2 Cr 0.2092 0.3432 0.0000 1
O1 O 0.0009 0.2543 0.0000 1
O2 O 0.0991 0.7195 0.5000 1
O3 O 0.2116 0.4540 0.2508 1
```